# DyNi2B2O6
Computed PXRD pattern, Cu Kα. Input: a crystal structure in Alexandria, relaxed with PBE+U.
Kinematic intensities with the Lorentz-polarization factor, no thermal factor.

Principal peaks in the range 10° ≤ 2θ ≤ 80°, low angle first:
2theta, I (rel.), (hkl)
14.91, 19, 0 0 1
25.21, 100, 0 1 1
35.39, 37, 1 1 0
36.51, 55, 1 0 2
38.60, 12, 2 -1 1
43.95, 29, 2 0 1
51.76, 17, 0 2 2
57.65, 24, 1 2 1
59.19, 21, 1 1 3
64.27, 17, 3 -1 2

Structural model:
```
DyNi2B2O6
1.0
5.072 0.000 0.000
-2.536 4.393 0.000
0.000 0.000 5.941
Dy Ni B O
1 2 2 6
Cartesian
0.000 0.000 0.000
0.000 2.929 1.934
2.536 1.464 4.007
0.000 2.929 4.559
2.536 1.464 1.383
-1.386 2.969 4.570
0.658 1.708 4.570
1.808 0.284 1.371
0.728 4.109 4.570
1.878 2.685 1.371
3.922 1.424 1.371
```